No. 1
Structure and calculated XRD peak list of Y2Al3ZnNi2 (the GGA-PBE geometry in OQMD; Cu Kα (λ = 1.5418 Å)).

Structure:
Cell: 14.1005 5.0706 4.5281 Å, 90.00 97.57 90.00°
Fractional coordinates of all 16 atoms:
Y (0.0000, 0.0000, 0.0000)
Y (0.2207, 0.5000, 0.7468)
Y (0.5000, 0.5000, 0.0000)
Y (0.7207, 0.0000, 0.7468)
Al (0.0123, 0.5000, 0.6073)
Al (0.3128, 0.0000, 0.5678)
Al (0.3970, 0.0000, 0.0881)
Al (0.5123, 0.0000, 0.6073)
Al (0.8128, 0.5000, 0.5678)
Al (0.8970, 0.5000, 0.0881)
Zn (0.2039, 0.0000, 0.0775)
Zn (0.7039, 0.5000, 0.0775)
Ni (0.0802, 0.5000, 0.1576)
Ni (0.1335, 0.0000, 0.5401)
Ni (0.5802, 0.0000, 0.1576)
Ni (0.6335, 0.5000, 0.5401)

Most intense lines, 2θ = 10–90°, by angle:
| 2θ/deg | I_rel |
| --- | --- |
| 12.67 | 1000 |
| 19.78 | 188 |
| 22.08 | 177 |
| 26.66 | 271 |
| 30.27 | 192 |
| 34.41 | 595 |
| 35.40 | 802 |
| 36.71 | 232 |
| 39.86 | 683 |
| 40.18 | 161 |
| 43.81 | 564 |
| 44.13 | 516 |

No. 2
Structure and calculated XRD peak list of YErTa (the GGA-PBE geometry in OQMD; Cu Kα (λ = 1.5418 Å)).

Structure:
Cell: 7.0560 7.0560 7.0560 Å, 90.00 90.00 90.00°
Fractional coordinates of all 12 atoms:
Y (0.0000, 0.0000, 0.0000)
Y (0.0000, 0.5000, 0.5000)
Y (0.5000, 0.0000, 0.5000)
Y (0.5000, 0.5000, 0.0000)
Er (0.2500, 0.2500, 0.7500)
Er (0.2500, 0.7500, 0.2500)
Er (0.7500, 0.2500, 0.2500)
Er (0.7500, 0.7500, 0.7500)
Ta (0.0000, 0.0000, 0.5000)
Ta (0.0000, 0.5000, 0.0000)
Ta (0.5000, 0.0000, 0.0000)
Ta (0.5000, 0.5000, 0.5000)

Most intense lines, 2θ = 10–90°, by angle:
| 2θ/deg | I_rel |
| --- | --- |
| 21.82 | 436 |
| 25.24 | 73 |
| 36.00 | 1000 |
| 42.49 | 236 |
| 51.83 | 177 |
| 56.88 | 102 |
| 58.50 | 27 |
| 64.72 | 362 |
| 69.18 | 76 |
| 76.35 | 112 |
| 80.54 | 76 |
| 87.42 | 163 |

No. 3
Structure and calculated XRD peak list of Rb2CoPdCl6 (the GGA-PBE geometry in OQMD; Cu Kα (λ = 1.5418 Å)).

Structure:
Cell: 6.9754 6.9754 6.9754 Å, 60.00 60.00 60.00°
Fractional coordinates of all 10 atoms:
Rb (0.2500, 0.2500, 0.2500)
Rb (0.7500, 0.7500, 0.7500)
Co (0.0000, 0.0000, 0.0000)
Pd (0.5000, 0.5000, 0.5000)
Cl (0.2428, 0.2428, 0.7572)
Cl (0.2428, 0.7572, 0.2428)
Cl (0.2428, 0.7572, 0.7572)
Cl (0.7572, 0.2428, 0.2428)
Cl (0.7572, 0.2428, 0.7572)
Cl (0.7572, 0.7572, 0.2428)

Most intense lines, 2θ = 10–90°, by angle:
| 2θ/deg | I_rel |
| --- | --- |
| 17.98 | 94 |
| 25.54 | 1000 |
| 31.41 | 256 |
| 36.43 | 818 |
| 45.02 | 436 |
| 52.47 | 528 |
| 59.24 | 197 |
| 62.45 | 82 |
| 65.56 | 173 |
| 71.58 | 220 |
| 83.08 | 109 |
| 88.69 | 232 |

No. 4
Structure and calculated XRD peak list of Sm3Mg3Pt2Au (the GGA-PBE geometry in OQMD; Cu Kα (λ = 1.5418 Å)).

Structure:
Cell: 7.5448 7.5448 4.1034 Å, 90.00 90.00 120.00°
Fractional coordinates of all 9 atoms:
Sm (0.0000, 0.5825, 0.0000)
Sm (0.4175, 0.4175, 0.0000)
Sm (0.5825, 0.0000, 0.0000)
Mg (0.0000, 0.2483, 0.5000)
Mg (0.2483, 0.0000, 0.5000)
Mg (0.7517, 0.7517, 0.5000)
Pt (0.3333, 0.6667, 0.5000)
Pt (0.6667, 0.3333, 0.5000)
Au (0.0000, 0.0000, 0.0000)

Most intense lines, 2θ = 10–90°, by angle:
| 2θ/deg | I_rel |
| --- | --- |
| 23.58 | 499 |
| 25.64 | 274 |
| 27.30 | 149 |
| 32.23 | 549 |
| 35.11 | 1000 |
| 41.46 | 347 |
| 42.73 | 347 |
| 44.14 | 211 |
| 48.25 | 169 |
| 55.43 | 161 |
| 62.16 | 212 |
| 66.40 | 241 |

No. 5
Structure and calculated XRD peak list of TbGd2Al3NiGe2 (the GGA-PBE geometry in OQMD; Cu Kα (λ = 1.5418 Å)).

Structure:
Cell: 4.2066 6.9906 6.9906 Å, 119.99 90.00 90.00°
Fractional coordinates of all 9 atoms:
Tb (0.0000, 0.0000, 0.0000)
Gd (0.0000, 0.1946, 0.5974)
Gd (0.0000, 0.5974, 0.1946)
Al (0.5000, 0.3690, 0.3690)
Al (0.5000, 0.5979, 0.8259)
Al (0.5000, 0.8259, 0.5979)
Ni (0.0000, 0.5982, 0.5982)
Ge (0.5000, 0.2634, 0.9311)
Ge (0.5000, 0.9311, 0.2634)

Most intense lines, 2θ = 10–90°, by angle:
| 2θ/deg | I_rel |
| --- | --- |
| 21.12 | 218 |
| 25.48 | 365 |
| 29.51 | 168 |
| 33.33 | 1000 |
| 36.57 | 678 |
| 39.38 | 231 |
| 43.00 | 228 |
| 44.92 | 217 |
| 45.10 | 170 |
| 54.66 | 171 |
| 59.25 | 245 |
| 71.54 | 172 |

No. 6
Structure and calculated XRD peak list of K2TeAuO6 (the GGA-PBE geometry in OQMD; Cu Kα (λ = 1.5418 Å)).

Structure:
Cell: 6.5362 6.5362 4.9129 Å, 104.37 104.37 48.93°
Fractional coordinates of all 10 atoms:
K (0.2330, 0.2330, 0.2153)
K (0.7670, 0.7670, 0.7847)
Te (0.5000, 0.5000, 0.0000)
Au (0.0000, 0.0000, 0.5000)
O (0.1815, 0.6803, 0.2068)
O (0.3197, 0.8185, 0.7932)
O (0.3500, 0.3500, 0.7458)
O (0.6500, 0.6500, 0.2542)
O (0.6803, 0.1815, 0.2068)
O (0.8185, 0.3197, 0.7932)

Most intense lines, 2θ = 10–90°, by angle:
| 2θ/deg | I_rel |
| --- | --- |
| 15.48 | 1000 |
| 24.61 | 649 |
| 27.72 | 947 |
| 30.62 | 916 |
| 31.25 | 322 |
| 33.09 | 296 |
| 36.98 | 193 |
| 37.94 | 179 |
| 46.16 | 256 |
| 50.46 | 278 |
| 51.71 | 203 |
| 56.92 | 194 |

No. 7
Structure and calculated XRD peak list of Sm2Ge4PdPt (the GGA-PBE geometry in OQMD; Cu Kα (λ = 1.5418 Å)).

Structure:
Cell: 4.4095 4.2932 17.1556 Å, 90.00 90.00 90.00°
Fractional coordinates of all 16 atoms:
Sm (0.0000, 0.0000, 0.0000)
Sm (0.0000, 0.5000, 0.5000)
Sm (0.5000, 0.0000, 0.2152)
Sm (0.5000, 0.5000, 0.7152)
Ge (0.0000, 0.0000, 0.3600)
Ge (0.0000, 0.0000, 0.6433)
Ge (0.0000, 0.5000, 0.1433)
Ge (0.0000, 0.5000, 0.8600)
Ge (0.5000, 0.0000, 0.5732)
Ge (0.5000, 0.0000, 0.8572)
Ge (0.5000, 0.5000, 0.0732)
Ge (0.5000, 0.5000, 0.3572)
Pd (0.5000, 0.0000, 0.4319)
Pd (0.5000, 0.5000, 0.9319)
Pt (0.0000, 0.0000, 0.7845)
Pt (0.0000, 0.5000, 0.2845)

Most intense lines, 2θ = 10–90°, by angle:
| 2θ/deg | I_rel |
| --- | --- |
| 10.31 | 361 |
| 29.04 | 280 |
| 29.50 | 717 |
| 33.07 | 1000 |
| 33.43 | 781 |
| 37.49 | 394 |
| 40.93 | 523 |
| 42.09 | 486 |
| 47.12 | 268 |
| 53.84 | 403 |
| 57.63 | 277 |
| 60.16 | 336 |

No. 8
Structure and calculated XRD peak list of SrReSn (the GGA-PBE geometry in OQMD; Cu Kα (λ = 1.5418 Å)).

Structure:
Cell: 6.8035 6.8035 6.8035 Å, 90.00 90.00 90.00°
Fractional coordinates of all 12 atoms:
Sr (0.0000, 0.0000, 0.0000)
Sr (0.0000, 0.5000, 0.5000)
Sr (0.5000, 0.0000, 0.5000)
Sr (0.5000, 0.5000, 0.0000)
Re (0.2500, 0.2500, 0.7500)
Re (0.2500, 0.7500, 0.2500)
Re (0.7500, 0.2500, 0.2500)
Re (0.7500, 0.7500, 0.7500)
Sn (0.0000, 0.0000, 0.5000)
Sn (0.0000, 0.5000, 0.0000)
Sn (0.5000, 0.0000, 0.0000)
Sn (0.5000, 0.5000, 0.5000)

Most intense lines, 2θ = 10–90°, by angle:
| 2θ/deg | I_rel |
| --- | --- |
| 22.64 | 536 |
| 26.20 | 6 |
| 37.39 | 1000 |
| 44.15 | 284 |
| 53.90 | 176 |
| 59.20 | 121 |
| 67.44 | 363 |
| 72.14 | 90 |
| 79.73 | 116 |
| 84.19 | 92 |

No. 9
Structure and calculated XRD peak list of Nd3P4Pt7 (the GGA-PBE geometry in OQMD; Cu Kα (λ = 1.5418 Å)).

Structure:
Cell: 8.1230 8.1230 9.4044 Å, 118.83 118.83 29.03°
Fractional coordinates of all 14 atoms:
Nd (0.0000, 0.0000, 0.0000)
Nd (0.3183, 0.3183, 0.3734)
Nd (0.6817, 0.6817, 0.6266)
P (0.1170, 0.1170, 0.7983)
P (0.3460, 0.3460, 0.7354)
P (0.6540, 0.6540, 0.2646)
P (0.8830, 0.8830, 0.2017)
Pt (0.0000, 0.0000, 0.5000)
Pt (0.1124, 0.1124, 0.3467)
Pt (0.2872, 0.2872, 0.9265)
Pt (0.4708, 0.4708, 0.2408)
Pt (0.5292, 0.5292, 0.7592)
Pt (0.7128, 0.7128, 0.0735)
Pt (0.8876, 0.8876, 0.6533)

Most intense lines, 2θ = 10–90°, by angle:
| 2θ/deg | I_rel |
| --- | --- |
| 27.77 | 262 |
| 30.33 | 530 |
| 33.99 | 1000 |
| 34.29 | 224 |
| 36.53 | 255 |
| 39.32 | 368 |
| 39.78 | 292 |
| 39.88 | 527 |
| 42.66 | 207 |
| 44.51 | 467 |
| 60.87 | 207 |
| 69.99 | 182 |

No. 10
Structure and calculated XRD peak list of B3Pt4 (the GGA-PBE geometry in OQMD; Cu Kα (λ = 1.5418 Å)).

Structure:
Cell: 5.5360 5.5360 6.7862 Å, 90.38 90.38 59.31°
Fractional coordinates of all 14 atoms:
B (0.0591, 0.9409, 0.7500)
B (0.2899, 0.3856, 0.9486)
B (0.3856, 0.2899, 0.4486)
B (0.6144, 0.7101, 0.5514)
B (0.7101, 0.6144, 0.0514)
B (0.9409, 0.0591, 0.2500)
Pt (0.1136, 0.3301, 0.2116)
Pt (0.2286, 0.7272, 0.4653)
Pt (0.2728, 0.7714, 0.0347)
Pt (0.3301, 0.1136, 0.7116)
Pt (0.6699, 0.8864, 0.2884)
Pt (0.7272, 0.2286, 0.9653)
Pt (0.7714, 0.2728, 0.5347)
Pt (0.8864, 0.6699, 0.7884)

Most intense lines, 2θ = 10–90°, by angle:
| 2θ/deg | I_rel |
| --- | --- |
| 32.17 | 1000 |
| 32.40 | 545 |
| 35.10 | 434 |
| 35.34 | 371 |
| 37.39 | 448 |
| 37.79 | 452 |
| 40.14 | 438 |
| 42.41 | 287 |
| 44.41 | 312 |
| 57.64 | 187 |
| 71.64 | 175 |
| 72.33 | 216 |

No. 11
Structure and calculated XRD peak list of HoRe4SiGe (the GGA-PBE geometry in OQMD; Cu Kα (λ = 1.5418 Å)).

Structure:
Cell: 4.0543 4.1075 14.2398 Å, 90.00 90.00 90.00°
Fractional coordinates of all 14 atoms:
Ho (0.0000, 0.0000, 0.0000)
Ho (0.0000, 0.5000, 0.5000)
Re (0.0000, 0.0000, 0.3091)
Re (0.0000, 0.0000, 0.7003)
Re (0.0000, 0.5000, 0.2003)
Re (0.0000, 0.5000, 0.8091)
Re (0.5000, 0.0000, 0.1923)
Re (0.5000, 0.0000, 0.8162)
Re (0.5000, 0.5000, 0.3162)
Re (0.5000, 0.5000, 0.6923)
Si (0.5000, 0.0000, 0.4132)
Si (0.5000, 0.5000, 0.9132)
Ge (0.5000, 0.0000, 0.5839)
Ge (0.5000, 0.5000, 0.0839)

Most intense lines, 2θ = 10–90°, by angle:
| 2θ/deg | I_rel |
| --- | --- |
| 12.43 | 525 |
| 33.50 | 78 |
| 36.44 | 1000 |
| 37.91 | 79 |
| 44.10 | 222 |
| 44.71 | 553 |
| 55.25 | 102 |
| 64.60 | 143 |
| 76.06 | 120 |
| 76.94 | 117 |
| 81.53 | 77 |
| 82.41 | 110 |

No. 12
Structure and calculated XRD peak list of Sm2CoCuN2 (the GGA-PBE geometry in OQMD; Cu Kα (λ = 1.5418 Å)).

Structure:
Cell: 3.5568 3.7833 6.8551 Å, 90.00 90.00 90.00°
Fractional coordinates of all 6 atoms:
Sm (0.0000, 0.0000, 0.2479)
Sm (0.0000, 0.0000, 0.7521)
Co (0.5000, 0.5000, 0.0000)
Cu (0.5000, 0.5000, 0.5000)
N (0.0000, 0.5000, 0.0000)
N (0.5000, 0.0000, 0.5000)

Most intense lines, 2θ = 10–90°, by angle:
| 2θ/deg | I_rel |
| --- | --- |
| 23.52 | 211 |
| 25.04 | 181 |
| 34.61 | 929 |
| 35.34 | 1000 |
| 36.40 | 921 |
| 43.80 | 222 |
| 48.10 | 230 |
| 51.38 | 188 |
| 53.47 | 167 |
| 61.79 | 383 |
| 63.90 | 345 |
| 65.27 | 293 |

No. 13
Structure and calculated XRD peak list of Zr2As6Ir (the GGA-PBE geometry in OQMD; Cu Kα (λ = 1.5418 Å)).

Structure:
Cell: 5.5448 5.5448 8.5996 Å, 118.81 118.81 50.96°
Fractional coordinates of all 9 atoms:
Zr (0.2079, 0.2079, 0.3259)
Zr (0.7921, 0.7921, 0.6741)
As (0.1198, 0.1030, 0.9628)
As (0.1486, 0.1477, 0.6248)
As (0.4806, 0.4730, 0.6886)
As (0.5270, 0.5194, 0.3114)
As (0.8523, 0.8514, 0.3752)
As (0.8970, 0.8802, 0.0372)
Ir (0.5131, 0.4869, 0.0000)

Most intense lines, 2θ = 10–90°, by angle:
| 2θ/deg | I_rel |
| --- | --- |
| 17.75 | 262 |
| 29.55 | 95 |
| 33.09 | 157 |
| 37.04 | 1000 |
| 37.72 | 559 |
| 38.58 | 570 |
| 46.67 | 84 |
| 49.51 | 110 |
| 53.93 | 246 |
| 54.16 | 83 |
| 67.62 | 106 |
| 68.65 | 110 |

No. 14
Structure and calculated XRD peak list of KRbAu3 (the GGA-PBE geometry in OQMD; Cu Kα (λ = 1.5418 Å)).

Structure:
Cell: 5.0326 5.5863 10.5048 Å, 90.00 90.00 90.00°
Fractional coordinates of all 10 atoms:
K (0.0000, 0.0000, 0.0000)
K (0.5000, 0.5000, 0.5000)
Rb (0.0000, 0.0000, 0.3891)
Rb (0.5000, 0.5000, 0.8891)
Au (0.0000, 0.2530, 0.6916)
Au (0.0000, 0.5000, 0.1896)
Au (0.0000, 0.7470, 0.6916)
Au (0.5000, 0.0000, 0.6896)
Au (0.5000, 0.2470, 0.1916)
Au (0.5000, 0.7530, 0.1916)

Most intense lines, 2θ = 10–90°, by angle:
| 2θ/deg | I_rel |
| --- | --- |
| 16.88 | 1000 |
| 29.32 | 429 |
| 30.12 | 193 |
| 31.12 | 188 |
| 34.14 | 298 |
| 35.68 | 356 |
| 37.82 | 952 |
| 39.72 | 254 |
| 45.27 | 341 |
| 50.21 | 203 |
| 57.90 | 350 |
| 65.51 | 193 |